Record 1
Structure and theoretical X-ray powder pattern of Th4Co2CSe (a cell relaxed with PBE; CuKα).
Lines closer than 0.1° are merged.

The 12 most intense peaks (2θ = 15–90°), in order of falling intensity:
| two_theta | d_spacing | intensity | (hkl) |
| --- | --- | --- | --- |
| 30.1 | 2.965 | 100 | 1 1 2 |
| 35.7 | 2.513 | 40 | 2 2 0 |
| 47.6 | 1.910 | 26 | 3 1 2 |
| 25.2 | 3.531 | 20 | 2 0 0 |
| 47.2 | 1.924 | 18 | 1 3 2 |
| 24.9 | 3.577 | 18 | 0 2 0 |
| 30.7 | 2.908 | 16 | 2 1 1 |
| 30.5 | 2.927 | 13 | 1 2 1 |
| 39.7 | 2.268 | 9 | 0 3 1 |
| 62.7 | 1.483 | 9 | 2 2 4 |
| 56.5 | 1.629 | 8 | 2 0 4 |
| 54.4 | 1.687 | 8 | 1 4 1 |

Cell and atoms:
```
data_Th4Co2CSe
_chemical_formula_sum 'Th8 Co4 C2 Se2'
_space_group_name_H-M_alt 'I 2 2 2'
_space_group_IT_number 23
_space_group_name_Hall 'I 2 2'
_cell_length_a 7.0623
_cell_length_b 7.1535
_cell_length_c 7.3447
_cell_angle_alpha 90.00
_cell_angle_beta 90.00
_cell_angle_gamma 90.00
loop_
_atom_site_label
_atom_site_type_symbol
_atom_site_fract_x
_atom_site_fract_y
_atom_site_fract_z
Th1 Th 0.2214 0.2120 0.1361
Co1 Co 0.0000 0.5000 0.1642
C1 C 0.0000 0.0000 0.0000
Se1 Se 0.0000 0.0000 0.5000
```

***

Record 2
Structure and theoretical X-ray powder pattern of Sr2TmMgAu6 (a cell relaxed with PBE; CuKα).
Lines closer than 0.1° are merged.

The 12 most intense peaks (2θ = 15–90°), in order of falling intensity:
| two_theta | d_spacing | intensity | (hkl) |
| --- | --- | --- | --- |
| 22.8 | 3.899 | 100 | -1 1 1 |
| 32.6 | 2.746 | 81 | 0 2 0 |
| 32.0 | 2.794 | 73 | 0 1 2 |
| 32.9 | 2.721 | 63 | 2 -1 0 |
| 41.8 | 2.161 | 60 | 1 -1 3 |
| 31.8 | 2.810 | 60 | 2 0 -1 |
| 46.6 | 1.950 | 58 | -2 2 2 |
| 38.4 | 2.345 | 52 | 1 2 -1 |
| 36.6 | 2.457 | 49 | 1 1 -3 |
| 31.5 | 2.839 | 42 | 1 -1 2 |
| 34.9 | 2.570 | 39 | 1 0 -3 |
| 35.4 | 2.539 | 37 | 0 2 -2 |

Cell and atoms:
```
data_Sr2TmMgAu6
_chemical_formula_sum 'Sr2 Tm1 Mg1 Au6'
_space_group_name_H-M_alt 'P -1'
_space_group_IT_number 2
_space_group_name_Hall '-P 1'
_cell_length_a 5.7560
_cell_length_b 5.7880
_cell_length_c 7.9960
_cell_angle_alpha 100.99
_cell_angle_beta 103.49
_cell_angle_gamma 101.73
loop_
_atom_site_label
_atom_site_type_symbol
_atom_site_fract_x
_atom_site_fract_y
_atom_site_fract_z
Sr1 Sr 0.1948 0.4697 0.2856
Tm1 Tm 0.5000 0.0000 0.0000
Mg1 Mg 0.0000 0.0000 0.5000
Au1 Au 0.0424 0.9083 0.1486
Au2 Au 0.3327 0.4604 0.8259
Au3 Au 0.4395 0.8925 0.6330
```